(1)
For CrO3, a GGA+U-relaxed structure gives the computed X-ray powder pattern in this record (Cu Kα (weighted mean of Kα1 and Kα2)).
Kinematic intensities with the Lorentz-polarization factor, no thermal factor.

Largest 12 diffraction maxima, low angle first, 10° ≤ 2θ ≤ 90°:
Position (°2θ)	I_rel	(hkl)
13.34	89	1 0 0
19.22	100	0 0 2
19.64	91	1 0 -2
23.68	76	1 1 -1
26.87	14	2 0 0
26.97	95	1 1 1
32.10	32	2 1 -1
33.16	15	1 1 2
33.92	32	2 1 -2
38.30	13	2 1 -3
40.95	25	1 1 3
54.76	14	1 2 -4

Structure:
Cell lengths 6.996, 4.625, 9.739 Å; angles 90.00, 108.45, 90.00 degrees
Space group P2_1/c (No. 14)
One atom of each set of equivalent atoms:
Cr 0.158 0.025 0.289 (multiplicity 4)
O 0.004 0.226 0.663 (multiplicity 4)
O 0.289 0.192 0.431 (multiplicity 4)
O 0.300 0.641 0.716 (multiplicity 4)


(2)
For MgV4O8F4, a GGA+U-relaxed structure gives the computed X-ray powder pattern in this record (Cu Kα (weighted mean of Kα1 and Kα2)).
Kinematic intensities with the Lorentz-polarization factor, no thermal factor.

Largest 12 diffraction maxima, low angle first, 10° ≤ 2θ ≤ 90°:
Position (°2θ)	I_rel	(hkl)
19.36	16	1 0 0
21.07	100	0 1 -1
23.42	74	1 0 -1
25.07	18	1 1 -1
25.52	15	1 0 2
25.83	85	1 1 2
27.92	16	0 1 -2
32.24	31	1 1 -2
34.72	16	0 1 3
47.90	17	2 0 -2
49.54	15	2 -1 1
53.11	22	2 2 4

Structure:
Cell lengths 5.073, 5.416, 8.989 Å; angles 82.16, 77.62, 66.68 degrees
Space group P1 (No. 1)
One atom of each set of equivalent atoms:
Mg 0.000 0.000 0.000 (multiplicity 1)
V 0.006 0.649 0.435 (multiplicity 1)
V 0.227 0.006 0.645 (multiplicity 1)
V 0.336 0.424 0.896 (multiplicity 1)
V 0.662 0.535 0.166 (multiplicity 1)
O 0.009 0.606 0.015 (multiplicity 1)
O 0.028 0.398 0.570 (multiplicity 1)
O 0.144 0.881 0.502 (multiplicity 1)
O 0.268 0.172 0.828 (multiplicity 1)
O 0.313 0.513 0.304 (multiplicity 1)
O 0.395 0.652 0.756 (multiplicity 1)
O 0.608 0.330 0.014 (multiplicity 1)
O 0.750 0.663 0.310 (multiplicity 1)
F 0.408 0.841 0.066 (multiplicity 1)
F 0.616 0.961 0.538 (multiplicity 1)
F 0.875 0.031 0.788 (multiplicity 1)
F 0.919 0.162 0.204 (multiplicity 1)


(3)
For KCrNiOF6, a GGA+U-relaxed structure gives the computed X-ray powder pattern in this record (Cu Kα (weighted mean of Kα1 and Kα2)).
Kinematic intensities with the Lorentz-polarization factor, no thermal factor.

Largest 12 diffraction maxima, low angle first, 10° ≤ 2θ ≤ 90°:
Position (°2θ)	I_rel	(hkl)
14.41	100	0 1 1
14.55	28	1 0 1
27.87	49	2 1 1
28.25	12	0 1 3
29.05	93	0 2 2
29.34	61	2 0 2
44.20	16	0 3 3
47.81	17	0 4 0
48.55	14	4 0 0
48.82	49	2 2 4
57.09	21	2 4 2
57.58	22	4 2 2

Structure:
Cell lengths 7.500, 7.610, 10.424 Å; angles 90.00, 90.00, 90.00 degrees
Space group Imma (No. 74)
One atom of each set of equivalent atoms:
K 0.000 0.000 0.000 (multiplicity 4)
Cr 0.000 0.000 0.500 (multiplicity 4)
Ni 0.250 0.250 0.250 (multiplicity 4)
O 0.000 0.250 0.789 (multiplicity 4)
F 0.000 0.250 0.176 (multiplicity 4)
F 0.000 0.250 0.562 (multiplicity 4)
F 0.186 0.058 0.379 (multiplicity 16)